This entry pairs a crystal structure of Mn5O6 with its calculated powder X-ray diffraction pattern. Radiation: CuKα. Structure: a cell relaxed with GGA+U.
Kinematic intensities with the Lorentz-polarization factor, no thermal factor.

Structure:
```
Mn5O6
1.0
2.704 -4.692 0.000
2.704 4.692 0.000
-1.667 0.000 5.062
Mn O
5 6
Cartesian
0.000 0.000 0.000 Mn
1.871 3.086 2.531 Mn
2.704 1.502 0.000 Mn
2.704 -1.502 0.000 Mn
1.871 -3.086 2.531 Mn
0.822 1.653 1.220 O
-0.077 0.000 3.938 O
0.822 -1.653 1.220 O
2.920 1.653 3.843 O
3.818 0.000 1.124 O
2.920 -1.653 3.843 O
```

Main lines, by intensity (2θ = 5–70°):
2θ (°), I (rel.)
40.67, 100
41.53, 46
35.34, 36
59.17, 27
59.88, 27
34.93, 19
35.46, 18
19.70, 18
58.67, 16
17.52, 15